This entry pairs a crystal structure of ThAl9Ir2 with its calculated powder diffraction line list. Radiation: Cu Kα (weighted mean of Kα1 and Kα2). Structure: the PBE geometry in Alexandria.
Peak positions follow from Bragg's law for the DFT cell and can differ from measured ones.

Principal peaks in the range 2θ = 10–90°, sorted by position:
| two_theta | intensity | (hkl) |
| --- | --- | --- |
| 22.47 | 100 | 2 1 1 |
| 30.28 | 27 | 2 0 2 |
| 32.82 | 55 | 3 2 1 |
| 33.62 | 32 | 4 0 0 |
| 36.79 | 31 | 3 1 2 |
| 37.73 | 17 | 4 2 0 |
| 39.04 | 23 | 1 0 3 |
| 45.87 | 33 | 4 2 2 |
| 47.69 | 19 | 5 2 1 |
| 57.45 | 18 | 2 2 4 |

Structure:
```
data_ThAl9Ir2
_chemical_formula_sum 'Th4 Al36 Ir8'
_symmetry_space_group_name_H-M 'I 41/a m d'
_symmetry_Int_Tables_number 141
_cell_length_a 10.6616
_cell_length_b 10.6616
_cell_length_c 7.0898
_cell_angle_alpha 90.00
_cell_angle_beta 90.00
_cell_angle_gamma 90.00
loop_
_symmetry_equiv_pos_as_xyz
'x,y,z'
'-x,-y,-z'
'-y+1/4,x+3/4,z+1/4'
'y+1/4,-x+3/4,-z+1/4'
'-x+1/2,-y,z+1/2'
'x+1/2,y,-z+1/2'
'y+1/4,-x+1/4,z+3/4'
'-y+1/4,x+1/4,-z+3/4'
'x,-y,-z'
'-x,y,z'
'-y+1/4,-x+1/4,-z+3/4'
'y+1/4,x+1/4,z+3/4'
'-x+1/2,y,-z+1/2'
'x+1/2,-y,z+1/2'
'y+1/4,x+3/4,-z+1/4'
'-y+1/4,-x+3/4,z+1/4'
'x+1/2,y+1/2,z+1/2'
'-x+1/2,-y+1/2,-z+1/2'
'-y+3/4,x+1/4,z+3/4'
'y+3/4,-x+1/4,-z+3/4'
'-x,-y+1/2,z'
'x,y+1/2,-z'
'y+3/4,-x+3/4,z+1/4'
'-y+3/4,x+3/4,-z+1/4'
'x+1/2,-y+1/2,-z+1/2'
'-x+1/2,y+1/2,z+1/2'
'-y+3/4,-x+3/4,-z+1/4'
'y+3/4,x+3/4,z+1/4'
'-x,y+1/2,-z'
'x,-y+1/2,z'
'y+3/4,x+1/4,-z+3/4'
'-y+3/4,-x+1/4,z+3/4'
loop_
_atom_site_label
_atom_site_type_symbol
_atom_site_fract_x
_atom_site_fract_y
_atom_site_fract_z
Th1 Th 0.0000 0.2500 0.3750
Al1 Al 0.0000 0.2500 0.8750
Al2 Al 0.1216 0.0483 0.6843
Ir1 Ir 0.0000 0.0000 0.0000
```